# 1
This entry pairs a crystal structure of Cs2Ac2ZrSe6 with its theoretical XRD peak list. Radiation: Cu Ka. Structure: a crystal structure in Alexandria, relaxed with GGA-PBE.

abc: 7.561 7.561 8.944
angles: 98.45 98.45 119.11
Positions (direct):
Cs 0.172 0.828 0.000
Cs 0.828 0.172 0.000
Ac 0.334 0.666 0.500
Ac 0.666 0.334 0.500
Zr 0.000 0.000 0.500
Se 0.064 0.363 0.686
Se 0.231 0.231 0.315
Se 0.363 0.064 0.686
Se 0.637 0.936 0.314
Se 0.769 0.769 0.685
Se 0.936 0.637 0.314

The 10 most intense peaks (10° ≤ 2θ ≤ 90°), low angle first:
10.3 deg, d 8.560, rel. 66
20.8 deg, d 4.280, rel. 14
27.0 deg, d 3.297, rel. 48
27.4 deg, d 3.254, rel. 100
34.1 deg, d 2.630, rel. 16
36.6 deg, d 2.455, rel. 17
36.7 deg, d 2.450, rel. 31
41.0 deg, d 2.202, rel. 33
41.6 deg, d 2.173, rel. 16
50.3 deg, d 1.814, rel. 16



# 2
This entry pairs a crystal structure of CsAcTe4 with its theoretical XRD peak list. Radiation: Cu Ka. Structure: a crystal structure in Alexandria, relaxed with GGA-PBE.

abc: 7.168 7.168 9.874
angles: 90.00 90.00 90.00
Positions (direct):
Cs 0.250 0.250 0.000
Cs 0.750 0.750 0.000
Ac 0.250 0.250 0.500
Ac 0.750 0.750 0.500
Te 0.111 0.611 0.294
Te 0.111 0.889 0.706
Te 0.389 0.611 0.706
Te 0.389 0.889 0.294
Te 0.611 0.111 0.706
Te 0.611 0.389 0.294
Te 0.889 0.111 0.294
Te 0.889 0.389 0.706

The 10 most intense peaks (10° ≤ 2θ ≤ 90°), low angle first:
25.2 deg, d 3.537, rel. 100
29.3 deg, d 3.049, rel. 65
30.8 deg, d 2.900, rel. 40
33.3 deg, d 2.689, rel. 14
39.2 deg, d 2.296, rel. 15
39.8 deg, d 2.267, rel. 43
46.4 deg, d 1.956, rel. 16
54.5 deg, d 1.684, rel. 24
55.0 deg, d 1.670, rel. 19
57.7 deg, d 1.599, rel. 17



# 3
This entry pairs a crystal structure of Cs2AcTe4 with its theoretical XRD peak list. Radiation: Cu Ka. Structure: a crystal structure in Alexandria, relaxed with GGA-PBE.

abc: 10.530 10.530 5.273
angles: 90.00 90.00 142.85
Positions (direct):
Cs 0.192 0.808 0.000
Cs 0.808 0.192 0.000
Ac 0.500 0.500 0.500
Te 0.067 0.933 0.500
Te 0.392 0.608 0.000
Te 0.608 0.392 0.000
Te 0.933 0.067 0.500

The 10 most intense peaks (10° ≤ 2θ ≤ 90°), low angle first:
18.8 deg, d 4.725, rel. 17
19.0 deg, d 4.662, rel. 66
24.6 deg, d 3.625, rel. 19
26.6 deg, d 3.354, rel. 51
31.1 deg, d 2.876, rel. 100
32.9 deg, d 2.723, rel. 34
34.0 deg, d 2.636, rel. 27
34.2 deg, d 2.625, rel. 21
43.7 deg, d 2.073, rel. 27
49.8 deg, d 1.830, rel. 27



# 4
This entry pairs a crystal structure of CsAc2UTe5 with its theoretical XRD peak list. Radiation: Cu Ka. Structure: a crystal structure in Alexandria, relaxed with GGA-PBE.

abc: 9.571 9.571 9.571
angles: 145.04 128.11 64.11
Positions (direct):
Cs 0.000 0.000 0.000
Ac 0.297 0.797 0.500
Ac 0.703 0.203 0.500
U 0.500 0.500 0.000
Te 0.115 0.351 0.764
Te 0.413 0.649 0.764
Te 0.500 0.000 0.500
Te 0.587 0.351 0.236
Te 0.885 0.649 0.236

The 10 most intense peaks (10° ≤ 2θ ≤ 90°), low angle first:
11.9 deg, d 7.442, rel. 59
21.7 deg, d 4.092, rel. 75
26.9 deg, d 3.314, rel. 27
29.5 deg, d 3.026, rel. 22
30.7 deg, d 2.913, rel. 52
31.1 deg, d 2.872, rel. 100
37.5 deg, d 2.399, rel. 22
43.2 deg, d 2.094, rel. 18
44.3 deg, d 2.046, rel. 38
54.2 deg, d 1.692, rel. 18



# 5
This entry pairs a crystal structure of Ac3Cu4 with its theoretical XRD peak list. Radiation: Cu Ka. Structure: a crystal structure in Alexandria, relaxed with GGA-PBE.

abc: 14.069 5.904 5.904
angles: 44.93 90.00 90.00
Positions (direct):
Ac 0.000 0.000 0.000
Ac 0.148 0.285 0.285
Ac 0.352 0.741 0.741
Ac 0.500 0.025 0.025
Ac 0.648 0.741 0.741
Ac 0.852 0.285 0.285
Cu 0.000 0.696 0.696
Cu 0.167 0.572 0.572
Cu 0.250 0.014 0.014
Cu 0.333 0.453 0.453
Cu 0.500 0.329 0.329
Cu 0.667 0.453 0.453
Cu 0.750 0.014 0.014
Cu 0.833 0.572 0.572

The 10 most intense peaks (10° ≤ 2θ ≤ 90°), low angle first:
24.8 deg, d 3.587, rel. 31
28.6 deg, d 3.116, rel. 100
30.2 deg, d 2.956, rel. 67
31.6 deg, d 2.832, rel. 44
32.2 deg, d 2.776, rel. 43
32.8 deg, d 2.728, rel. 40
33.3 deg, d 2.688, rel. 49
37.1 deg, d 2.424, rel. 59
40.0 deg, d 2.256, rel. 47
50.9 deg, d 1.793, rel. 33



# 6
This entry pairs a crystal structure of Ac2Cu3 with its theoretical XRD peak list. Radiation: Cu Ka. Structure: a crystal structure in Alexandria, relaxed with GGA-PBE.

abc: 13.886 13.886 4.414
angles: 90.00 90.00 162.93
Positions (direct):
Ac 0.069 0.931 0.750
Ac 0.201 0.799 0.250
Ac 0.799 0.201 0.750
Ac 0.931 0.069 0.250
Cu 0.336 0.664 0.250
Cu 0.385 0.615 0.750
Cu 0.477 0.523 0.750
Cu 0.523 0.477 0.250
Cu 0.615 0.385 0.250
Cu 0.664 0.336 0.750

The 10 most intense peaks (10° ≤ 2θ ≤ 90°), low angle first:
24.0 deg, d 3.713, rel. 51
26.0 deg, d 3.433, rel. 21
31.3 deg, d 2.862, rel. 100
31.5 deg, d 2.842, rel. 69
33.9 deg, d 2.642, rel. 28
38.6 deg, d 2.332, rel. 25
40.9 deg, d 2.207, rel. 28
43.9 deg, d 2.061, rel. 23
44.6 deg, d 2.032, rel. 20
52.5 deg, d 1.743, rel. 33



# 7
This entry pairs a crystal structure of AcCu3 with its theoretical XRD peak list. Radiation: Cu Ka. Structure: a crystal structure in Alexandria, relaxed with GGA-PBE.

abc: 6.631 6.631 4.314
angles: 90.00 90.00 120.00
Positions (direct):
Ac 0.333 0.667 0.250
Ac 0.667 0.333 0.750
Cu 0.126 0.252 0.750
Cu 0.126 0.874 0.750
Cu 0.252 0.126 0.250
Cu 0.748 0.874 0.750
Cu 0.874 0.126 0.250
Cu 0.874 0.748 0.250

The 10 most intense peaks (10° ≤ 2θ ≤ 90°), low angle first:
25.8 deg, d 3.449, rel. 62
26.9 deg, d 3.316, rel. 39
31.1 deg, d 2.871, rel. 25
37.6 deg, d 2.390, rel. 100
41.6 deg, d 2.171, rel. 22
41.9 deg, d 2.157, rel. 21
50.5 deg, d 1.808, rel. 15
60.5 deg, d 1.530, rel. 14
62.1 deg, d 1.494, rel. 28
73.7 deg, d 1.286, rel. 14



# 8
This entry pairs a crystal structure of AcCu3 with its theoretical XRD peak list. Radiation: Cu Ka. Structure: a crystal structure in Alexandria, relaxed with GGA-PBE.

abc: 5.685 5.685 5.685
angles: 44.21 44.21 44.21
Positions (direct):
Ac 0.000 0.000 0.000
Cu 0.197 0.197 0.197
Cu 0.500 0.500 0.500
Cu 0.803 0.803 0.803

The 10 most intense peaks (10° ≤ 2θ ≤ 90°), low angle first:
24.7 deg, d 3.602, rel. 81
26.7 deg, d 3.337, rel. 56
33.6 deg, d 2.667, rel. 100
35.0 deg, d 2.560, rel. 35
38.0 deg, d 2.365, rel. 58
42.2 deg, d 2.139, rel. 95
55.0 deg, d 1.669, rel. 25
56.0 deg, d 1.642, rel. 55
65.8 deg, d 1.419, rel. 24
71.7 deg, d 1.316, rel. 22



# 9
This entry pairs a crystal structure of AcCu4 with its theoretical XRD peak list. Radiation: Cu Ka. Structure: a crystal structure in Alexandria, relaxed with GGA-PBE.

abc: 5.750 5.738 4.363
angles: 67.83 67.53 44.64
Positions (direct):
Ac 0.000 0.000 0.000
Cu 0.250 0.250 0.250
Cu 0.372 0.372 0.628
Cu 0.628 0.628 0.372
Cu 0.750 0.750 0.750

The 10 most intense peaks (10° ≤ 2θ ≤ 90°), low angle first:
22.3 deg, d 3.978, rel. 26
28.8 deg, d 3.097, rel. 12
29.1 deg, d 3.074, rel. 11
34.4 deg, d 2.609, rel. 38
34.6 deg, d 2.596, rel. 100
41.4 deg, d 2.181, rel. 45
51.6 deg, d 1.771, rel. 18
54.8 deg, d 1.674, rel. 17
55.1 deg, d 1.666, rel. 16
68.1 deg, d 1.377, rel. 10



# 10
This entry pairs a crystal structure of Ac5Cu6 with its theoretical XRD peak list. Radiation: Cu Ka. Structure: a crystal structure in Alexandria, relaxed with GGA-PBE.

abc: 15.626 15.626 4.188
angles: 90.00 90.00 163.40
Positions (direct):
Ac 0.000 0.000 0.000
Ac 0.197 0.803 0.500
Ac 0.386 0.614 0.000
Ac 0.614 0.386 0.000
Ac 0.803 0.197 0.500
Cu 0.083 0.917 0.500
Cu 0.273 0.727 0.000
Cu 0.460 0.540 0.500
Cu 0.540 0.460 0.500
Cu 0.727 0.273 0.000
Cu 0.917 0.083 0.500

The 10 most intense peaks (10° ≤ 2θ ≤ 90°), low angle first:
24.4 deg, d 3.645, rel. 55
28.9 deg, d 3.093, rel. 21
30.4 deg, d 2.941, rel. 100
31.5 deg, d 2.840, rel. 65
35.6 deg, d 2.520, rel. 25
37.7 deg, d 2.386, rel. 21
40.0 deg, d 2.255, rel. 28
43.2 deg, d 2.094, rel. 23
50.3 deg, d 1.815, rel. 17
51.8 deg, d 1.766, rel. 33



# 11
This entry pairs a crystal structure of Ac2DyCu3Ge4 with its theoretical XRD peak list. Radiation: Cu Ka. Structure: a crystal structure in Alexandria, relaxed with GGA-PBE.

abc: 4.447 4.447 10.974
angles: 90.00 90.00 90.00
Positions (direct):
Ac 0.000 0.500 0.228
Ac 0.500 0.000 0.772
Dy 0.000 0.000 0.500
Cu 0.000 0.500 0.888
Cu 0.500 0.000 0.112
Cu 0.500 0.500 0.500
Ge 0.000 0.000 0.000
Ge 0.000 0.500 0.658
Ge 0.500 0.000 0.342
Ge 0.500 0.500 0.000

The 10 most intense peaks (10° ≤ 2θ ≤ 90°), low angle first:
21.6 deg, d 4.121, rel. 22
31.7 deg, d 2.825, rel. 48
32.8 deg, d 2.728, rel. 100
38.6 deg, d 2.335, rel. 14
40.6 deg, d 2.223, rel. 49
46.1 deg, d 1.968, rel. 16
52.4 deg, d 1.747, rel. 23
58.7 deg, d 1.572, rel. 16
63.1 deg, d 1.474, rel. 13
68.9 deg, d 1.362, rel. 24



# 12
This entry pairs a crystal structure of AcDyCuS4 with its theoretical XRD peak list. Radiation: Cu Ka. Structure: a crystal structure in Alexandria, relaxed with GGA-PBE.

abc: 6.765 5.765 8.204
angles: 90.00 107.27 90.00
Positions (direct):
Ac 0.237 0.250 0.434
Ac 0.763 0.750 0.566
Dy 0.235 0.250 0.937
Dy 0.765 0.750 0.063
Cu 0.256 0.750 0.184
Cu 0.744 0.250 0.816
S 0.068 0.750 0.375
S 0.068 0.750 0.904
S 0.484 0.513 0.766
S 0.484 0.987 0.766
S 0.516 0.013 0.234
S 0.516 0.487 0.234
S 0.932 0.250 0.096
S 0.932 0.250 0.625

The 10 most intense peaks (10° ≤ 2θ ≤ 90°), low angle first:
20.6 deg, d 4.301, rel. 81
27.6 deg, d 3.234, rel. 100
30.0 deg, d 2.980, rel. 26
30.2 deg, d 2.961, rel. 28
31.0 deg, d 2.882, rel. 39
33.9 deg, d 2.647, rel. 35
34.0 deg, d 2.633, rel. 41
38.8 deg, d 2.320, rel. 34
42.0 deg, d 2.151, rel. 38
44.2 deg, d 2.050, rel. 47



# 13
This entry pairs a crystal structure of AcDyCu2Si2 with its theoretical XRD peak list. Radiation: Cu Ka. Structure: a crystal structure in Alexandria, relaxed with GGA-PBE.

abc: 4.247 4.247 7.991
angles: 90.00 90.00 120.00
Positions (direct):
Ac 0.000 0.000 0.000
Dy 0.000 0.000 0.500
Cu 0.333 0.667 0.714
Cu 0.667 0.333 0.286
Si 0.333 0.667 0.277
Si 0.667 0.333 0.723

The 10 most intense peaks (10° ≤ 2θ ≤ 90°), low angle first:
22.2 deg, d 3.996, rel. 8
24.2 deg, d 3.678, rel. 39
26.7 deg, d 3.341, rel. 9
33.1 deg, d 2.706, rel. 100
42.6 deg, d 2.124, rel. 37
45.4 deg, d 1.998, rel. 8
52.1 deg, d 1.756, rel. 13
55.0 deg, d 1.671, rel. 24
64.0 deg, d 1.455, rel. 17
71.9 deg, d 1.313, rel. 21



# 14
This entry pairs a crystal structure of AcErCu10 with its theoretical XRD peak list. Radiation: Cu Ka. Structure: a crystal structure in Alexandria, relaxed with GGA-PBE.

abc: 4.109 5.165 8.902
angles: 90.00 90.00 90.00
Positions (direct):
Ac 0.000 0.000 0.000
Er 0.000 0.500 0.500
Cu 0.000 0.000 0.344
Cu 0.000 0.000 0.656
Cu 0.000 0.500 0.180
Cu 0.000 0.500 0.820
Cu 0.500 0.000 0.500
Cu 0.500 0.256 0.261
Cu 0.500 0.256 0.739
Cu 0.500 0.500 0.000
Cu 0.500 0.744 0.261
Cu 0.500 0.744 0.739

The 10 most intense peaks (10° ≤ 2θ ≤ 90°), low angle first:
29.6 deg, d 3.023, rel. 87
34.9 deg, d 2.573, rel. 34
40.4 deg, d 2.234, rel. 37
41.3 deg, d 2.186, rel. 51
41.4 deg, d 2.181, rel. 100
44.1 deg, d 2.055, rel. 38
57.4 deg, d 1.606, rel. 24
61.3 deg, d 1.512, rel. 21
66.8 deg, d 1.400, rel. 23
79.2 deg, d 1.209, rel. 21